# 1
For ZrSi2O2, DFT lattice parameters and positions (PBE) gives the computed PXRD pattern in this record (copper Kα).
Peak positions follow from Bragg's law for the DFT cell and can differ from measured ones.

Main lines, low angle first (2θ = 10–90°):
| d [Å] | intensity |
| --- | --- |
| 6.393 | 100 |
| 4.322 | 31 |
| 3.197 | 23 |
| 3.089 | 22 |
| 3.030 | 75 |
| 2.433 | 39 |
| 2.274 | 28 |
| 2.209 | 16 |
| 2.120 | 16 |
| 1.545 | 17 |

Structure:
```
ZrSi2O2
1.0
-3.440 3.440 8.644
3.440 -3.440 8.644
3.440 3.440 -8.644
Zr Si O
4 8 8
Cartesian
0.000 0.000 0.000 Zr
1.720 1.720 -4.322 Zr
1.720 -1.720 4.322 Zr
0.000 3.440 0.000 Zr
2.233 1.720 -0.699 Si
4.648 1.720 -0.699 Si
0.000 0.513 3.623 Si
3.440 0.513 5.021 Si
0.000 2.928 3.623 Si
3.440 2.928 5.021 Si
-1.208 1.720 9.342 Si
1.208 1.720 9.342 Si
2.063 1.720 -2.336 O
4.817 1.720 -2.336 O
0.000 0.343 1.985 O
3.440 0.343 6.658 O
0.000 3.097 1.985 O
3.440 3.097 6.658 O
-1.377 1.720 10.980 O
1.377 1.720 10.980 O
```

***

# 2
For Sm3SnO6, DFT lattice parameters and positions (PBE) gives the computed PXRD pattern in this record (copper Kα).
Peak positions follow from Bragg's law for the DFT cell and can differ from measured ones.

Main lines, low angle first (2θ = 10–90°):
| d [Å] | intensity |
| --- | --- |
| 3.770 | 37 |
| 3.440 | 26 |
| 3.147 | 100 |
| 3.012 | 36 |
| 2.835 | 71 |
| 2.213 | 18 |
| 2.141 | 34 |
| 1.959 | 17 |
| 1.892 | 34 |
| 1.764 | 20 |

Structure:
```
Sm3SnO6
1.0
5.005 2.890 3.770
-5.005 2.890 3.770
0.000 -5.779 3.770
Sm Sn O
6 2 12
Cartesian
-2.544 -2.539 5.220 Sm
-3.471 0.933 6.092 Sm
0.927 -3.473 6.092 Sm
-0.927 3.473 5.220 Sm
3.471 -0.933 5.220 Sm
2.544 2.539 6.092 Sm
0.000 0.000 0.000 Sn
0.000 0.000 5.656 Sn
-4.403 -1.338 6.228 O
-1.043 -4.482 5.084 O
-2.231 -0.283 4.590 O
-3.360 3.144 5.084 O
-0.870 -2.073 6.721 O
1.360 -1.790 4.590 O
-1.360 1.790 6.721 O
0.870 2.073 4.590 O
3.360 -3.144 6.228 O
2.231 0.283 6.721 O
1.043 4.482 6.228 O
4.403 1.338 5.084 O
```

***

# 3
For Tb2Sm4Sn3O2, DFT lattice parameters and positions (PBE) gives the computed PXRD pattern in this record (copper Kα).
Peak positions follow from Bragg's law for the DFT cell and can differ from measured ones.

Main lines, low angle first (2θ = 10–90°):
| d [Å] | intensity |
| --- | --- |
| 3.246 | 48 |
| 3.168 | 17 |
| 2.967 | 19 |
| 2.629 | 100 |
| 2.534 | 13 |
| 2.375 | 56 |
| 1.900 | 16 |
| 1.733 | 17 |
| 1.679 | 19 |
| 1.415 | 30 |

Structure:
```
Tb2Sm4Sn3O2
1.0
-2.375 2.375 12.671
2.375 -2.375 12.671
2.375 2.375 -12.671
Tb Sm Sn O
2 4 3 2
Cartesian
0.000 0.000 4.914 Tb
0.000 0.000 20.428 Tb
2.375 0.000 2.114 Sm
2.375 0.000 10.557 Sm
0.000 2.375 2.114 Sm
0.000 2.375 10.557 Sm
0.000 0.000 8.125 Sn
0.000 0.000 12.671 Sn
0.000 0.000 17.217 Sn
0.000 0.000 2.614 O
0.000 0.000 22.728 O
```

***

# 4
For SmTi4SnO12, DFT lattice parameters and positions (PBE) gives the computed PXRD pattern in this record (copper Kα).
Peak positions follow from Bragg's law for the DFT cell and can differ from measured ones.

Main lines, low angle first (2θ = 10–90°):
| d [Å] | intensity |
| --- | --- |
| 4.407 | 100 |
| 2.714 | 55 |
| 2.670 | 28 |
| 2.339 | 17 |
| 2.284 | 28 |
| 1.951 | 12 |
| 1.888 | 18 |
| 1.759 | 14 |
| 1.575 | 13 |
| 1.550 | 23 |

Structure:
```
SmTi4SnO12
1.0
7.804 0.000 0.000
0.000 3.778 3.774
0.000 -3.778 3.774
Sm Ti Sn O
1 4 1 12
Cartesian
0.000 0.000 0.000 Sm
1.925 -1.850 5.434 Ti
1.925 1.850 5.434 Ti
5.880 -1.850 5.434 Ti
5.880 1.850 5.434 Ti
3.902 0.000 3.318 Sn
0.000 -1.526 5.404 O
0.000 1.526 5.404 O
1.648 0.000 1.882 O
1.840 -2.294 3.511 O
1.840 2.294 3.511 O
2.498 0.000 4.801 O
3.902 -1.511 1.987 O
3.902 1.511 1.987 O
5.307 0.000 4.801 O
5.964 -2.294 3.511 O
5.964 2.294 3.511 O
6.156 0.000 1.882 O
```

***

# 5
For Sr2SmO3, DFT lattice parameters and positions (PBE) gives the computed PXRD pattern in this record (copper Kα).
Peak positions follow from Bragg's law for the DFT cell and can differ from measured ones.

Main lines, low angle first (2θ = 10–90°):
| d [Å] | intensity |
| --- | --- |
| 2.956 | 80 |
| 2.941 | 79 |
| 2.556 | 100 |
| 2.549 | 50 |
| 1.814 | 17 |
| 1.805 | 68 |
| 1.544 | 25 |
| 1.538 | 49 |
| 1.478 | 18 |
| 1.140 | 22 |

Structure:
```
Sr2SmO3
1.0
-1.801 2.549 5.443
1.801 -2.549 5.443
1.801 2.549 -5.443
Sr Sm O
2 1 3
Cartesian
0.000 0.000 1.827 Sr
0.000 0.000 9.060 Sr
0.000 0.000 5.443 Sm
1.801 0.000 0.000 O
1.801 0.000 3.782 O
0.000 2.549 1.662 O
```

***

# 6
For Sm2Ta2O7, DFT lattice parameters and positions (PBE) gives the computed PXRD pattern in this record (copper Kα).
Peak positions follow from Bragg's law for the DFT cell and can differ from measured ones.

Main lines, low angle first (2θ = 10–90°):
| d [Å] | intensity |
| --- | --- |
| 6.046 | 1 |
| 3.157 | 2 |
| 3.023 | 100 |
| 2.618 | 36 |
| 1.851 | 47 |
| 1.579 | 44 |
| 1.511 | 10 |
| 1.309 | 7 |
| 1.201 | 18 |
| 1.171 | 15 |

Structure:
```
Sm2Ta2O7
1.0
0.000 5.236 5.236
5.236 0.000 5.236
5.236 5.236 0.000
Sm Ta O
4 4 14
Cartesian
0.000 0.000 0.000 Sm
2.618 2.618 0.000 Sm
2.618 0.000 2.618 Sm
0.000 2.618 2.618 Sm
5.236 2.618 2.618 Ta
2.618 5.236 2.618 Ta
2.618 2.618 5.236 Ta
5.236 5.236 5.236 Ta
1.309 1.309 1.309 O
3.927 3.927 1.659 O
3.927 1.659 3.927 O
6.194 3.927 3.927 O
6.545 6.545 4.277 O
6.545 4.277 6.545 O
8.812 6.545 6.545 O
1.659 3.927 3.927 O
3.927 6.194 3.927 O
3.927 3.927 6.194 O
4.277 6.545 6.545 O
6.545 8.812 6.545 O
6.545 6.545 8.812 O
9.163 9.163 9.163 O
```